(1)
Computed powder XRD pattern of Sr2GdFe3O9 for Cu Kα, from a DFT-relaxed cell (GGA+U, Alexandria).

Crystal structure
abc: 9.5825 5.5616 13.3718
angles: 90.00 90.16 90.00
Space group C2/c (No. 15)
Symmetry-distinct sites (fractional):
1 Sr 0.1668 0.0032 0.0837 (multiplicity 8)
2 Gd 0.0000 0.4930 0.2500 (multiplicity 4)
3 Fe 0.0000 0.5000 0.0000 (multiplicity 4)
4 Fe 0.1664 0.9998 0.3336 (multiplicity 8)
5 O 0.0000 0.0841 0.7500 (multiplicity 4)
6 O 0.0584 0.2498 0.4044 (multiplicity 8)
7 O 0.1032 0.2619 0.9198 (multiplicity 8)
8 O 0.1634 0.4473 0.5871 (multiplicity 8)
9 O 0.2131 0.2781 0.2453 (multiplicity 8)

Peak list (8 most intense, 10° ≤ 2θ ≤ 90°, by angle)
- hkl 0 2 0, 32.19°, I = 31
- hkl 3 1 0, 32.32°, I = 66
- hkl 1 1 4, 32.63°, I = 100
- hkl 2 2 -4, 46.49°, I = 45
- hkl 4 0 4, 46.71°, I = 21
- hkl 3 3 0, 57.48°, I = 15
- hkl 6 0 0, 57.70°, I = 22
- hkl 4 2 4, 57.84°, I = 26

***

(2)
Computed powder XRD pattern of SrGd2Fe3O9 for Cu Kα, from a DFT-relaxed cell (GGA+U, Alexandria).

Crystal structure
abc: 5.4803 5.4803 6.7465
angles: 90.00 90.00 120.00
Space group P-3m1 (No. 164)
Symmetry-distinct sites (fractional):
1 Sr 0.0000 0.0000 0.0000 (multiplicity 1)
2 Gd 0.3333 0.6667 0.6488 (multiplicity 2)
3 Fe 0.0000 0.0000 0.5000 (multiplicity 1)
4 Fe 0.3333 0.6667 0.1598 (multiplicity 2)
5 O 0.0000 0.5000 0.0000 (multiplicity 3)
6 O 0.1689 0.3377 0.3530 (multiplicity 6)

Peak list (8 most intense, 10° ≤ 2θ ≤ 90°, by angle)
- hkl 1 0 1, 22.91°, I = 24
- hkl 0 1 2, 32.57°, I = 100
- hkl 1 1 0, 32.68°, I = 97
- hkl 0 2 1, 40.29°, I = 26
- hkl 2 0 2, 46.81°, I = 65
- hkl 3 0 0, 58.28°, I = 57
- hkl 0 2 4, 68.22°, I = 17
- hkl 2 2 0, 68.48°, I = 19